Structure and theoretical powder XRD pattern of TlV3I (a crystal structure in Alexandria, relaxed with GGA-PBE; λ = 1.5418 Å (Cu Kα)).
Kinematic intensities with the Lorentz-polarization factor, no thermal factor.

Most intense lines, 10 to 90 degrees two-theta, low angle first:
- hkl 1 0 0, 17.0 deg, intensity 23
- hkl 1 1 0, 24.1 deg, intensity 100
- hkl 2 0 0, 34.4 deg, intensity 61
- hkl 2 1 1, 42.4 deg, intensity 46
- hkl 2 2 0, 49.4 deg, intensity 43
- hkl 3 1 0, 55.7 deg, intensity 21
- hkl 2 2 2, 61.6 deg, intensity 15
- hkl 3 2 1, 67.1 deg, intensity 24
- hkl 4 1 1, 77.6 deg, intensity 12
- hkl 4 2 0, 82.7 deg, intensity 19

Structural model:
abc: 5.218 5.218 5.218
angles: 90.00 90.00 90.00
Fractional positions:
Tl (0.000, 0.000, 0.000)
V (0.000, 0.000, 0.500)
V (0.000, 0.500, 0.000)
V (0.500, 0.000, 0.000)
I (0.500, 0.500, 0.500)